No. 1
Starting from a cell relaxed with PBE, the powder diffractogram of Dy5Ho4Tl2 was computed for Cu Kα, 1.54184 Å.

Cell and atoms:
```
11
Lattice="2.6055 1.5043 15.5746 -2.6055 1.5043 15.5746 0.0000 -3.0086 15.5746" Properties=species:S:1:pos:R:3 pbc="T T T"
Dy 0.0000 0.0000 0.0000
Dy 0.0000 0.0000 6.9194
Dy 0.0000 0.0000 14.0861
Dy 0.0000 0.0000 32.6377
Dy 0.0000 0.0000 39.8044
Ho 0.0000 0.0000 3.4322
Ho 0.0000 0.0000 10.5232
Ho 0.0000 0.0000 36.2006
Ho 0.0000 0.0000 43.2916
Tl 0.0000 0.0000 17.8366
Tl 0.0000 0.0000 28.8872
```

Principal peaks in the range 2θ = 10–80°, sorted by position:
- 19.8 deg, intensity 10
- 31.8 deg, intensity 100
- 33.4 deg, intensity 19
- 34.4 deg, intensity 94
- 47.6 deg, intensity 33
- 55.0 deg, intensity 13
- 60.0 deg, intensity 33
- 61.7 deg, intensity 18
- 64.7 deg, intensity 12
- 72.6 deg, intensity 11


No. 2
Starting from a cell relaxed with PBE, the powder diffractogram of Dy2HoTl was computed for Cu Kα, 1.54184 Å.

Cell and atoms:
```
8
Lattice="1.8122 -6.3920 0.0000 1.8122 6.3920 0.0000 0.0000 0.0000 10.2553" Properties=species:S:1:pos:R:3 pbc="T T T"
Dy 1.8122 4.7248 5.4514
Dy 1.8122 4.7248 9.9316
Dy 1.8122 -4.7248 0.3237
Dy 1.8122 -4.7248 4.8039
Ho 1.8122 0.5012 7.6915
Ho 1.8122 -0.5012 2.5638
Tl 1.8122 3.1374 2.5638
Tl 1.8122 -3.1374 7.6915
```

Principal peaks in the range 2θ = 10–80°, sorted by position:
- 29.6 deg, intensity 24
- 31.0 deg, intensity 93
- 32.4 deg, intensity 38
- 33.0 deg, intensity 100
- 33.6 deg, intensity 69
- 35.0 deg, intensity 44
- 36.8 deg, intensity 38
- 50.4 deg, intensity 21
- 55.8 deg, intensity 31
- 61.5 deg, intensity 42


No. 3
Starting from a cell relaxed with PBE, the powder diffractogram of Dy4Ho9Tl11 was computed for Cu Kα, 1.54184 Å.

Cell and atoms:
```
24
Lattice="8.0658 -11.4605 0.0000 8.0658 11.4605 0.0000 0.0000 0.0000 3.5697" Properties=species:S:1:pos:R:3 pbc="T T T"
Dy 2.6866 1.8662 0.0000
Dy 2.6866 -1.8662 0.0000
Dy 13.4450 1.8662 0.0000
Dy 13.4450 -1.8662 0.0000
Ho 0.0000 0.0000 0.0000
Ho 6.2333 6.2397 0.0000
Ho 6.2927 2.1454 0.0000
Ho 9.8983 6.2397 0.0000
Ho 6.2927 -2.1454 0.0000
Ho 9.8388 2.1454 0.0000
Ho 6.2333 -6.2397 0.0000
Ho 9.8388 -2.1454 0.0000
Ho 9.8983 -6.2397 0.0000
Tl 4.3505 4.1218 1.7848
Tl 8.0658 8.6315 1.7848
Tl 4.6340 0.0000 1.7848
Tl 8.0658 4.2682 1.7848
Tl 4.3505 -4.1218 1.7848
Tl 8.0658 0.0000 1.7848
Tl 11.7810 4.1218 1.7848
Tl 8.0658 -4.2682 1.7848
Tl 11.4976 0.0000 1.7848
Tl 8.0658 -8.6315 1.7848
Tl 11.7810 -4.1218 1.7848
```

Principal peaks in the range 2θ = 10–80°, sorted by position:
- 32.3 deg, intensity 100
- 33.5 deg, intensity 71
- 34.0 deg, intensity 45
- 34.4 deg, intensity 63
- 37.8 deg, intensity 23
- 51.2 deg, intensity 19
- 58.7 deg, intensity 31
- 61.3 deg, intensity 30
- 61.8 deg, intensity 18
- 62.9 deg, intensity 16